Theoretical X-ray diffraction stick pattern of LiSm2Ga4Pd3 for copper Kα, from a PBE-relaxed structure.
Intensities are scaled so that the largest is 100.

Main lines, in order of falling intensity (2θ = 15–90°):
2θ 34.50, I 100; 2θ 32.41, I 85; 2θ 43.47, I 60; 2θ 46.44, I 46; 2θ 55.25, I 38; 2θ 65.49, I 32; 2θ 30.36, I 31; 2θ 74.00, I 21; 2θ 63.16, I 19; 2θ 83.95, I 14

Atomic structure:
```
LiSm2Ga4Pd3
1.0
4.1640 0.0000 0.0000
0.0000 4.1640 0.0000
0.0000 0.0000 11.0737
Li Sm Ga Pd
1 2 4 3
Direct
0.0000 0.0000 0.0000 Li
0.0000 0.5000 0.7417 Sm
0.5000 0.0000 0.2583 Sm
0.0000 0.0000 0.5000 Ga
0.0000 0.5000 0.1349 Ga
0.5000 0.0000 0.8651 Ga
0.5000 0.5000 0.5000 Ga
0.0000 0.5000 0.3633 Pd
0.5000 0.0000 0.6367 Pd
0.5000 0.5000 0.0000 Pd
```


Theoretical X-ray diffraction stick pattern of Zn3Sn2O7 for copper Kα, from a PBE-relaxed structure.
Intensities are scaled so that the largest is 100.

Main lines, in order of falling intensity (2θ = 15–90°):
2θ 33.21, I 100; 2θ 59.40, I 26; 2θ 33.04, I 21; 2θ 59.11, I 19; 2θ 47.59, I 17; 2θ 79.48, I 10; 2θ 69.68, I 10; 2θ 47.72, I 9; 2θ 59.26, I 9; 2θ 23.75, I 8

Atomic structure:
```
Zn3Sn2O7
1.0
9.5297 -2.7113 0.0000
9.5297 2.7113 0.0000
0.0000 0.0000 5.3863
Zn Sn O
6 4 14
Direct
0.0743 0.5174 0.5619 Zn
0.2447 0.7553 0.5000 Zn
0.4826 0.9257 0.5619 Zn
0.5174 0.0743 0.0619 Zn
0.7553 0.2447 0.0000 Zn
0.9257 0.4826 0.0619 Zn
0.1432 0.6491 0.0274 Sn
0.3509 0.8568 0.0274 Sn
0.6491 0.1432 0.5274 Sn
0.8568 0.3509 0.5274 Sn
0.0533 0.2183 0.8534 O
0.1209 0.8791 0.1240 O
0.1623 0.4265 0.9352 O
0.2183 0.0533 0.3534 O
0.3438 0.5071 0.6994 O
0.4265 0.1623 0.4352 O
0.4929 0.6562 0.6994 O
0.5071 0.3438 0.1994 O
0.5735 0.8377 0.9352 O
0.6562 0.4929 0.1994 O
0.7817 0.9467 0.8534 O
0.8377 0.5735 0.4352 O
0.8791 0.1209 0.6240 O
0.9467 0.7817 0.3534 O
```


Theoretical X-ray diffraction stick pattern of Zn2NiAg for copper Kα, from a PBE-relaxed structure.
Intensities are scaled so that the largest is 100.

Main lines, in order of falling intensity (2θ = 15–90°):
2θ 40.86, I 100; 2θ 44.92, I 41; 2θ 80.07, I 25; 2θ 71.52, I 14; 2θ 65.40, I 12; 2θ 33.94, I 11; 2θ 52.49, I 9; 2θ 88.57, I 8; 2θ 60.79, I 5; 2θ 38.74, I 5

Atomic structure:
```
Zn2NiAg
1.0
2.8538 0.0000 0.0000
0.0000 2.8538 0.0000
0.0000 0.0000 6.9727
Zn Ni Ag
2 1 1
Direct
0.0000 0.0000 0.2160 Zn
0.0000 0.0000 0.7840 Zn
0.5000 0.5000 0.0000 Ni
0.5000 0.5000 0.5000 Ag
```


Theoretical X-ray diffraction stick pattern of LuThGaFe for copper Kα, from a PBE-relaxed structure.
Intensities are scaled so that the largest is 100.

Main lines, in order of falling intensity (2θ = 15–90°):
2θ 36.07, I 100; 2θ 64.86, I 36; 2θ 25.29, I 30; 2θ 51.94, I 18; 2θ 87.63, I 16; 2θ 58.62, I 13; 2θ 76.52, I 11; 2θ 44.57, I 9; 2θ 82.12, I 7; 2θ 21.86, I 2

Atomic structure:
```
LuThGaFe
1.0
0.0000 3.5211 3.5211
3.5211 0.0000 3.5211
3.5211 3.5211 0.0000
Lu Th Ga Fe
1 1 1 1
Direct
0.0000 0.0000 0.0000 Lu
0.5000 0.5000 0.5000 Th
0.7500 0.7500 0.7500 Ga
0.2500 0.2500 0.2500 Fe
```